(1)
This entry pairs a crystal structure of LiCeH6Pt with its calculated powder diffraction line list. Radiation: copper Kα. Structure: a PBE-relaxed structure.
Intensities are scaled so that the largest is 100.

Structure:
a = 4.5508 Å, b = 4.5508 Å, c = 4.4704 Å
α = 90.00°, β = 90.00°, γ = 120.00°
Positions (direct):
Li (0.0000, 0.0000, 0.0000)
Ce (0.3333, 0.6667, 0.5000)
H (0.3471, 0.1735, 0.2732)
H (0.3471, 0.1735, 0.7268)
H (0.8265, 0.1735, 0.2732)
H (0.8265, 0.1735, 0.7268)
H (0.8265, 0.6529, 0.2732)
H (0.8265, 0.6529, 0.7268)
Pt (0.6667, 0.3333, 0.0000)

Top 12 peaks for 2θ from 15° to 90°, by angle:
- 2θ = 22.56°, rel. 35
- 2θ = 30.23°, rel. 100
- 2θ = 39.61°, rel. 33
- 2θ = 40.35°, rel. 10
- 2θ = 46.72°, rel. 10
- 2θ = 50.62°, rel. 24
- 2θ = 57.82°, rel. 22
- 2θ = 66.12°, rel. 22
- 2θ = 67.16°, rel. 10
- 2θ = 71.86°, rel. 6
- 2θ = 80.87°, rel. 6
- 2θ = 85.79°, rel. 7

***

(2)
This entry pairs a crystal structure of TbNd7Y3 with its calculated powder diffraction line list. Radiation: copper Kα. Structure: a PBE-relaxed structure.
Intensities are scaled so that the largest is 100.

Structure:
a = 10.3089 Å, b = 10.3089 Å, c = 12.6183 Å
α = 114.05°, β = 114.05°, γ = 41.24°
Positions (direct):
Tb (0.0000, 0.0000, 0.0000)
Tb (0.0000, 0.0000, 0.5000)
Nd (0.0792, 0.5852, 0.9712)
Nd (0.0801, 0.5839, 0.4705)
Nd (0.2219, 0.7781, 0.7500)
Nd (0.3359, 0.3447, 0.2244)
Nd (0.3447, 0.3359, 0.7244)
Nd (0.4148, 0.9208, 0.5288)
Nd (0.4161, 0.9199, 0.0295)
Nd (0.5839, 0.0801, 0.9705)
Nd (0.5852, 0.0792, 0.4712)
Nd (0.6553, 0.6641, 0.2756)
Nd (0.6641, 0.6553, 0.7756)
Nd (0.7781, 0.2219, 0.2500)
Nd (0.9199, 0.4161, 0.5295)
Nd (0.9208, 0.4148, 0.0288)
Y (0.1679, 0.1703, 0.2748)
Y (0.1703, 0.1679, 0.7748)
Y (0.5000, 0.5000, 0.0000)
Y (0.5000, 0.5000, 0.5000)
Y (0.8297, 0.8321, 0.2252)
Y (0.8321, 0.8297, 0.7252)

Top 12 peaks for 2θ from 15° to 90°, by angle:
- 2θ = 28.55°, rel. 30
- 2θ = 29.17°, rel. 31
- 2θ = 30.88°, rel. 51
- 2θ = 31.55°, rel. 100
- 2θ = 33.24°, rel. 85
- 2θ = 37.40°, rel. 15
- 2θ = 50.13°, rel. 27
- 2θ = 54.24°, rel. 22
- 2θ = 57.52°, rel. 17
- 2θ = 60.03°, rel. 15
- 2θ = 60.06°, rel. 15
- 2θ = 60.17°, rel. 14

***

(3)
This entry pairs a crystal structure of La2YSb4 with its calculated powder diffraction line list. Radiation: copper Kα. Structure: a PBE-relaxed structure.
Intensities are scaled so that the largest is 100.

Structure:
a = 5.7067 Å, b = 5.7067 Å, c = 15.8763 Å
α = 90.00°, β = 90.00°, γ = 90.00°
Positions (direct):
La (0.0000, 0.0000, 0.1138)
La (0.0000, 0.0000, 0.8862)
La (0.5000, 0.5000, 0.3862)
La (0.5000, 0.5000, 0.6138)
Y (0.0000, 0.0000, 0.5000)
Y (0.5000, 0.5000, 0.0000)
Sb (0.0000, 0.0000, 0.3090)
Sb (0.0000, 0.0000, 0.6910)
Sb (0.0000, 0.5000, 0.0000)
Sb (0.0000, 0.5000, 0.5000)
Sb (0.5000, 0.0000, 0.0000)
Sb (0.5000, 0.0000, 0.5000)
Sb (0.5000, 0.5000, 0.1910)
Sb (0.5000, 0.5000, 0.8090)

Top 12 peaks for 2θ from 15° to 90°, by angle:
- 2θ = 22.03°, rel. 45
- 2θ = 24.75°, rel. 43
- 2θ = 31.35°, rel. 100
- 2θ = 31.62°, rel. 42
- 2θ = 32.26°, rel. 84
- 2θ = 44.93°, rel. 37
- 2θ = 45.60°, rel. 64
- 2θ = 55.97°, rel. 16
- 2θ = 56.41°, rel. 22
- 2θ = 65.96°, rel. 24
- 2θ = 67.52°, rel. 15
- 2θ = 74.33°, rel. 16

***

Repeat the first record exactly.
This entry pairs a crystal structure of LiCeH6Pt with its calculated powder diffraction line list. Radiation: copper Kα. Structure: a PBE-relaxed structure.
Intensities are scaled so that the largest is 100.

Structure:
a = 4.5508 Å, b = 4.5508 Å, c = 4.4704 Å
α = 90.00°, β = 90.00°, γ = 120.00°
Positions (direct):
Li (0.0000, 0.0000, 0.0000)
Ce (0.3333, 0.6667, 0.5000)
H (0.3471, 0.1735, 0.2732)
H (0.3471, 0.1735, 0.7268)
H (0.8265, 0.1735, 0.2732)
H (0.8265, 0.1735, 0.7268)
H (0.8265, 0.6529, 0.2732)
H (0.8265, 0.6529, 0.7268)
Pt (0.6667, 0.3333, 0.0000)

Top 12 peaks for 2θ from 15° to 90°, by angle:
- 2θ = 22.56°, rel. 35
- 2θ = 30.23°, rel. 100
- 2θ = 39.61°, rel. 33
- 2θ = 40.35°, rel. 10
- 2θ = 46.72°, rel. 10
- 2θ = 50.62°, rel. 24
- 2θ = 57.82°, rel. 22
- 2θ = 66.12°, rel. 22
- 2θ = 67.16°, rel. 10
- 2θ = 71.86°, rel. 6
- 2θ = 80.87°, rel. 6
- 2θ = 85.79°, rel. 7